# AlMo2
Theoretical powder diffractogram, copper Kα. Input: a structure optimized by DFT (PBE).
Kinematic intensities with the Lorentz-polarization factor, no thermal factor.

Crystal structure
```
data_AlMo2
_chemical_formula_sum 'Al4 Mo8'
_space_group_name_H-M_alt 'C 1 2/m 1'
_space_group_IT_number 12
_space_group_name_Hall '-C 2y'
_cell_length_a 9.703
_cell_length_b 3.279
_cell_length_c 6.181
_cell_angle_alpha 90.00
_cell_angle_beta 108.70
_cell_angle_gamma 90.00
loop_
_atom_site_label
_atom_site_fract_x
_atom_site_fract_y
_atom_site_fract_z
Al1 0.166 0.000 0.327
Mo1 0.000 0.500 0.000
Mo2 0.000 0.500 0.500
Mo3 0.161 0.000 0.832
```

Most intense lines, 10° ≤ 2θ ≤ 90°, by angle:
20.4 deg, intensity 29, (2 0 -1); 34.3 deg, intensity 16, (1 1 1); 40.1 deg, intensity 100, (1 1 -2); 40.3 deg, intensity 98, (3 1 0); 41.5 deg, intensity 90, (2 0 2); 56.1 deg, intensity 18, (0 2 0); 59.9 deg, intensity 16, (2 0 -4); 72.1 deg, intensity 34, (2 2 2); 74.6 deg, intensity 15, (5 1 -4); 74.7 deg, intensity 15, (1 1 4); 75.0 deg, intensity 15, (7 1 -2); 75.1 deg, intensity 15, (5 1 2)



# Sm2HfAl4Au3
Theoretical powder diffractogram, copper Kα. Input: a structure optimized by DFT (PBE).
Kinematic intensities with the Lorentz-polarization factor, no thermal factor.

Crystal structure
```
data_Sm2HfAl4Au3
_chemical_formula_sum 'Sm2 Hf1 Al4 Au3'
_space_group_name_H-M_alt 'P -4 m 2'
_space_group_IT_number 115
_space_group_name_Hall 'P -4 -2'
_cell_length_a 4.284
_cell_length_b 4.284
_cell_length_c 11.411
_cell_angle_alpha 90.00
_cell_angle_beta 90.00
_cell_angle_gamma 90.00
loop_
_atom_site_label
_atom_site_fract_x
_atom_site_fract_y
_atom_site_fract_z
Sm1 0.000 0.500 0.246
Hf1 0.000 0.000 0.500
Al1 0.000 0.000 0.000
Al2 0.000 0.500 0.653
Al3 0.500 0.500 0.000
Au1 0.000 0.500 0.872
Au2 0.500 0.500 0.500
```

Most intense lines, 10° ≤ 2θ ≤ 90°, by angle:
23.4 deg, intensity 36, (0 0 3); 26.0 deg, intensity 35, (1 0 2); 30.5 deg, intensity 72, (1 1 1); 31.4 deg, intensity 73, (1 0 3); 33.5 deg, intensity 100, (1 1 2); 42.2 deg, intensity 64, (2 0 0); 43.6 deg, intensity 27, (1 1 4); 45.0 deg, intensity 33, (1 0 5); 53.5 deg, intensity 35, (2 1 3); 61.2 deg, intensity 22, (2 2 0); 63.4 deg, intensity 24, (2 1 5); 71.6 deg, intensity 22, (3 1 2)



# Sm3Sn2Pt
Theoretical powder diffractogram, copper Kα. Input: a structure optimized by DFT (PBE).
Kinematic intensities with the Lorentz-polarization factor, no thermal factor.

Crystal structure
```
data_Sm3Sn2Pt
_chemical_formula_sum 'Sm12 Sn8 Pt4'
_space_group_name_H-M_alt 'P n m a'
_space_group_IT_number 62
_space_group_name_Hall '-P 2ac 2n'
_cell_length_a 12.401
_cell_length_b 4.560
_cell_length_c 11.863
_cell_angle_alpha 90.00
_cell_angle_beta 90.00
_cell_angle_gamma 90.00
loop_
_atom_site_label
_atom_site_fract_x
_atom_site_fract_y
_atom_site_fract_z
Sm1 0.053 0.250 0.129
Sm2 0.121 0.750 0.554
Sm3 0.232 0.250 0.802
Sn1 0.003 0.750 0.307
Sn2 0.188 0.750 0.005
Pt1 0.124 0.250 0.372
```

Most intense lines, 10° ≤ 2θ ≤ 90°, by angle:
10.3 deg, intensity 39, (1 0 1); 16.1 deg, intensity 31, (2 0 1); 28.6 deg, intensity 53, (2 1 2); 29.9 deg, intensity 96, (0 1 3); 31.0 deg, intensity 27, (1 0 4); 32.6 deg, intensity 32, (4 0 2); 32.9 deg, intensity 100, (3 1 2); 35.8 deg, intensity 84, (4 1 1); 39.0 deg, intensity 64, (2 1 4); 39.5 deg, intensity 78, (0 2 0); 44.0 deg, intensity 27, (3 0 5); 58.0 deg, intensity 25, (2 2 5)



# PmSmAs2
Theoretical powder diffractogram, copper Kα. Input: a structure optimized by DFT (PBE).
Kinematic intensities with the Lorentz-polarization factor, no thermal factor.

Crystal structure
```
data_PmSmAs2
_chemical_formula_sum 'Pm2 Sm2 As4'
_space_group_name_H-M_alt 'P 63/m m c'
_space_group_IT_number 194
_space_group_name_Hall '-P 6c 2c'
_cell_length_a 4.2041
_cell_length_b 4.2041
_cell_length_c 13.9687
_cell_angle_alpha 90.00
_cell_angle_beta 90.00
_cell_angle_gamma 120.00
loop_
_atom_site_label
_atom_site_fract_x
_atom_site_fract_y
_atom_site_fract_z
Pm1 0.3333 0.6667 0.2500
Sm1 0.0000 0.0000 0.0000
As1 0.3333 0.6667 0.6224
```

Most intense lines, 10° ≤ 2θ ≤ 90°, by angle:
27.6 deg, intensity 100, (1 0 2); 31.2 deg, intensity 77, (1 0 3); 35.6 deg, intensity 25, (1 0 4); 40.7 deg, intensity 33, (1 0 5); 43.0 deg, intensity 63, (1 1 0); 46.3 deg, intensity 27, (1 0 6); 51.9 deg, intensity 18, (2 0 2); 52.4 deg, intensity 12, (0 0 8); 54.1 deg, intensity 16, (2 0 3); 69.6 deg, intensity 15, (2 1 2); 70.1 deg, intensity 29, (1 1 8); 71.5 deg, intensity 14, (2 1 3)



# KZrTe2Pd
Theoretical powder diffractogram, copper Kα. Input: a structure optimized by DFT (PBE).
Kinematic intensities with the Lorentz-polarization factor, no thermal factor.

Crystal structure
```
data_KZrTe2Pd
_chemical_formula_sum 'K2 Zr2 Te4 Pd2'
_space_group_name_H-M_alt 'P 1 2/c 1'
_space_group_IT_number 13
_space_group_name_Hall '-P 2yc'
_cell_length_a 9.035
_cell_length_b 4.867
_cell_length_c 7.077
_cell_angle_alpha 90.00
_cell_angle_beta 100.63
_cell_angle_gamma 90.00
loop_
_atom_site_label
_atom_site_fract_x
_atom_site_fract_y
_atom_site_fract_z
K1 0.000 0.200 0.250
Zr1 0.500 0.498 0.750
Te1 0.260 0.309 0.944
Pd1 0.500 0.000 0.000
```

Most intense lines, 10° ≤ 2θ ≤ 90°, by angle:
23.5 deg, intensity 52, (1 1 -1); 25.4 deg, intensity 100, (1 1 1); 25.7 deg, intensity 37, (1 0 -2); 31.7 deg, intensity 38, (1 1 -2); 34.7 deg, intensity 46, (1 1 2); 35.0 deg, intensity 39, (2 1 -2); 35.8 deg, intensity 33, (3 1 -1); 38.3 deg, intensity 24, (1 2 0); 40.3 deg, intensity 30, (2 1 2); 40.7 deg, intensity 81, (4 0 0); 42.4 deg, intensity 45, (2 2 0); 63.3 deg, intensity 29, (0 3 2)



# Y3Hg2Pd3
Theoretical powder diffractogram, copper Kα. Input: a structure optimized by DFT (PBE).
Kinematic intensities with the Lorentz-polarization factor, no thermal factor.

Crystal structure
```
data_Y3Hg2Pd3
_chemical_formula_sum 'Y6 Hg4 Pd6'
_space_group_name_H-M_alt 'P 63/m c m'
_space_group_IT_number 193
_space_group_name_Hall '-P 6c 2'
_cell_length_a 8.5012
_cell_length_b 8.5012
_cell_length_c 5.8347
_cell_angle_alpha 90.00
_cell_angle_beta 90.00
_cell_angle_gamma 120.00
loop_
_atom_site_label
_atom_site_fract_x
_atom_site_fract_y
_atom_site_fract_z
Y1 0.0000 0.2801 0.2500
Hg1 0.3333 0.6667 0.0000
Pd1 0.0000 0.3768 0.7500
```

Most intense lines, 10° ≤ 2θ ≤ 90°, by angle:
12.0 deg, intensity 57, (1 0 0); 32.2 deg, intensity 21, (2 1 0); 33.0 deg, intensity 14, (1 0 2); 35.7 deg, intensity 30, (2 1 1); 36.6 deg, intensity 84, (3 0 0); 37.4 deg, intensity 100, (1 1 2); 39.4 deg, intensity 11, (2 0 2); 47.2 deg, intensity 10, (3 1 1); 53.3 deg, intensity 29, (2 2 2); 66.4 deg, intensity 27, (4 1 2); 75.9 deg, intensity 20, (3 0 4); 89.7 deg, intensity 12, (5 2 2)



# LiMg4In5
Theoretical powder diffractogram, copper Kα. Input: a structure optimized by DFT (PBE).
Kinematic intensities with the Lorentz-polarization factor, no thermal factor.

Crystal structure
```
data_LiMg4In5
_chemical_formula_sum 'Li1 Mg4 In5'
_space_group_name_H-M_alt 'P 4/m m m'
_space_group_IT_number 123
_space_group_name_Hall '-P 4 2'
_cell_length_a 3.490
_cell_length_b 3.490
_cell_length_c 18.726
_cell_angle_alpha 90.00
_cell_angle_beta 90.00
_cell_angle_gamma 90.00
loop_
_atom_site_label
_atom_site_fract_x
_atom_site_fract_y
_atom_site_fract_z
Li1 0.000 0.000 0.000
Mg1 0.000 0.000 0.189
Mg2 0.000 0.000 0.396
In1 0.500 0.500 0.089
In2 0.500 0.500 0.292
In3 0.500 0.500 0.500
```

Most intense lines, 10° ≤ 2θ ≤ 90°, by angle:
23.8 deg, intensity 32, (0 0 5); 25.5 deg, intensity 58, (1 0 0); 35.1 deg, intensity 100, (1 0 5); 36.4 deg, intensity 49, (1 1 0); 43.9 deg, intensity 25, (1 1 5); 52.4 deg, intensity 17, (2 0 0); 55.7 deg, intensity 9, (1 0 10); 58.3 deg, intensity 10, (2 0 5); 59.2 deg, intensity 11, (2 1 0); 62.2 deg, intensity 14, (1 1 10); 64.7 deg, intensity 32, (2 1 5); 74.3 deg, intensity 8, (2 0 10)